# NaLa3Os
Calculated XRD peak list, Cu Ka. Input: a cell relaxed with GGA-PBE.
Lines closer than 0.1° are merged.

Cell and atoms:
```
NaLa3Os
1.0
3.8825 2.2416 6.8034
-3.8825 2.2416 6.8034
0.0000 -4.4831 6.8034
Na La Os
2 6 2
Cartesian
0.0000 0.0000 1.6706
0.0000 0.0000 18.7395
-2.0928 -0.8940 8.5633
-0.2722 -2.2594 11.8468
-1.8206 1.3654 11.8468
1.8206 -1.3654 8.5633
0.2722 2.2594 8.5633
2.0928 0.8940 11.8468
0.0000 0.0000 6.7491
0.0000 0.0000 13.6610
```

Peak list (6 most intense, 2θ = 15–90°, most intense first)
2θ = 34.56°, rel. 100.0; 2θ = 26.43°, rel. 91.5; 2θ = 35.07°, rel. 78.2; 2θ = 15.78°, rel. 67.4; 2θ = 26.87°, rel. 58.1; 2θ = 46.80°, rel. 56.1